[1]
LiAcTbSi: simulated X-ray diffraction stick pattern (Cu Kα, 1.54184 Å), based on a DFT-relaxed cell (PBE, Alexandria).
Lines closer than 0.1° are merged.

Structure:
Unit cell a=5.261 b=5.261 c=5.261 alpha=60.00 beta=60.00 gamma=60.00
Sites, in units of the cell vectors:
Li1 0.000 0.000 0.000
Ac1 0.250 0.250 0.250
Tb1 0.750 0.750 0.750
Si1 0.500 0.500 0.500

Main lines, low angle first (2θ = 10–80°):
| d_spacing | Rel. int. |
| --- | --- |
| 4.296 | 59 |
| 3.720 | 846 |
| 2.631 | 1000 |
| 2.243 | 35 |
| 2.148 | 264 |
| 1.860 | 182 |
| 1.707 | 16 |
| 1.664 | 363 |
| 1.519 | 380 |
| 1.315 | 118 |
| 1.258 | 12 |
| 1.240 | 174 |

[2]
Nd7InS5: simulated X-ray diffraction stick pattern (Cu Kα, 1.54184 Å), based on a DFT-relaxed cell (PBE, Alexandria).
Lines closer than 0.1° are merged.

Structure:
Unit cell a=7.087 b=7.087 c=24.556 alpha=90.02 beta=90.02 gamma=33.53
Sites, in units of the cell vectors:
Nd1 0.018 0.018 0.250
Nd2 0.135 0.135 0.964
Nd3 0.136 0.136 0.536
Nd4 0.324 0.324 0.171
Nd5 0.324 0.324 0.329
Nd6 0.409 0.409 0.608
Nd7 0.409 0.409 0.891
Nd8 0.591 0.591 0.109
Nd9 0.591 0.591 0.392
Nd10 0.676 0.676 0.671
Nd11 0.676 0.676 0.829
Nd12 0.864 0.864 0.464
Nd13 0.865 0.865 0.036
Nd14 0.982 0.982 0.750
In1 0.300 0.300 0.750
In2 0.700 0.700 0.250
S1 0.044 0.044 0.640
S2 0.044 0.044 0.860
S3 0.227 0.227 0.070
S4 0.227 0.227 0.430
S5 0.500 0.500 0.000
S6 0.500 0.500 0.500
S7 0.773 0.773 0.570
S8 0.773 0.773 0.930
S9 0.956 0.956 0.140
S10 0.956 0.956 0.360

Main lines, low angle first (2θ = 10–80°):
| d_spacing | Rel. int. |
| --- | --- |
| 3.300 | 497 |
| 3.116 | 1000 |
| 3.061 | 398 |
| 2.944 | 990 |
| 2.844 | 634 |
| 2.795 | 204 |
| 2.080 | 206 |
| 2.054 | 457 |
| 2.044 | 346 |
| 1.979 | 209 |
| 1.753 | 223 |
| 1.709 | 348 |

[3]
Nd3TmGa4: simulated X-ray diffraction stick pattern (Cu Kα, 1.54184 Å), based on a DFT-relaxed cell (PBE, Alexandria).
Lines closer than 0.1° are merged.

Structure:
Unit cell a=3.645 b=3.645 c=14.693 alpha=90.00 beta=90.00 gamma=90.00
Sites, in units of the cell vectors:
Nd1 0.000 0.000 0.000
Nd2 0.000 0.000 0.257
Nd3 0.000 0.000 0.743
Tm1 0.000 0.000 0.500
Ga1 0.500 0.500 0.129
Ga2 0.500 0.500 0.389
Ga3 0.500 0.500 0.611
Ga4 0.500 0.500 0.871

Main lines, low angle first (2θ = 10–80°):
| d_spacing | Rel. int. |
| --- | --- |
| 3.673 | 78 |
| 3.645 | 148 |
| 2.587 | 1000 |
| 2.577 | 511 |
| 2.110 | 70 |
| 1.837 | 82 |
| 1.822 | 182 |
| 1.631 | 67 |
| 1.496 | 166 |
| 1.490 | 362 |
| 1.294 | 101 |
| 1.289 | 57 |

[4]
PmNpAl2O8: simulated X-ray diffraction stick pattern (Cu Kα, 1.54184 Å), based on a DFT-relaxed cell (PBE, Alexandria).
Lines closer than 0.1° are merged.

Structure:
Unit cell a=4.730 b=4.730 c=7.322 alpha=90.08 beta=90.08 gamma=79.43
Sites, in units of the cell vectors:
Pm1 0.000 0.000 0.000
Np1 0.000 0.000 0.500
Al1 0.500 0.500 0.181
Al2 0.500 0.500 0.819
O1 0.228 0.772 0.270
O2 0.228 0.772 0.730
O3 0.250 0.250 0.501
O4 0.327 0.327 0.000
O5 0.673 0.673 0.000
O6 0.750 0.750 0.499
O7 0.772 0.228 0.270
O8 0.772 0.228 0.730

Main lines, low angle first (2θ = 10–80°):
| d_spacing | Rel. int. |
| --- | --- |
| 4.650 | 1000 |
| 3.925 | 210 |
| 3.661 | 341 |
| 3.639 | 575 |
| 3.022 | 337 |
| 2.876 | 937 |
| 2.331 | 384 |
| 2.251 | 211 |
| 1.963 | 263 |
| 1.918 | 370 |
| 1.715 | 247 |
| 1.703 | 197 |

[5]
Ac2ReC2: simulated X-ray diffraction stick pattern (Cu Kα, 1.54184 Å), based on a DFT-relaxed cell (PBE, Alexandria).
Lines closer than 0.1° are merged.

Structure:
Unit cell a=6.891 b=5.661 c=10.953 alpha=90.00 beta=90.00 gamma=90.00
Sites, in units of the cell vectors:
Ac1 0.035 0.250 0.210
Ac2 0.193 0.250 0.548
Ac3 0.307 0.750 0.048
Ac4 0.465 0.750 0.710
Ac5 0.535 0.250 0.290
Ac6 0.693 0.250 0.952
Ac7 0.807 0.750 0.452
Ac8 0.965 0.750 0.790
Re1 0.232 0.250 0.847
Re2 0.268 0.750 0.347
Re3 0.732 0.250 0.653
Re4 0.768 0.750 0.153
C1 0.028 0.750 0.244
C2 0.203 0.750 0.518
C3 0.297 0.250 0.018
C4 0.472 0.250 0.744
C5 0.528 0.750 0.256
C6 0.703 0.750 0.982
C7 0.797 0.250 0.482
C8 0.972 0.250 0.756

Main lines, low angle first (2θ = 10–80°):
| d_spacing | Rel. int. |
| --- | --- |
| 3.418 | 174 |
| 3.226 | 232 |
| 3.068 | 578 |
| 2.943 | 276 |
| 2.916 | 276 |
| 2.843 | 1000 |
| 2.831 | 723 |
| 2.803 | 714 |
| 2.545 | 195 |
| 2.031 | 198 |
| 1.680 | 263 |
| 1.637 | 203 |

[6]
Sm2DyAl6: simulated X-ray diffraction stick pattern (Cu Kα, 1.54184 Å), based on a DFT-relaxed cell (PBE, Alexandria).
Lines closer than 0.1° are merged.

Structure:
Unit cell a=7.954 b=7.954 c=3.562 alpha=90.00 beta=90.00 gamma=120.00
Sites, in units of the cell vectors:
Sm1 0.333 0.667 0.000
Sm2 0.667 0.333 0.000
Dy1 0.000 0.000 0.000
Al1 0.000 0.332 0.500
Al2 0.000 0.668 0.500
Al3 0.332 0.000 0.500
Al4 0.332 0.332 0.500
Al5 0.668 0.000 0.500
Al6 0.668 0.668 0.500

Main lines, low angle first (2θ = 10–80°):
| d_spacing | Rel. int. |
| --- | --- |
| 3.977 | 684 |
| 3.562 | 105 |
| 2.653 | 1000 |
| 2.296 | 438 |
| 1.988 | 107 |
| 1.930 | 122 |
| 1.736 | 282 |
| 1.625 | 113 |
| 1.503 | 87 |
| 1.407 | 185 |
| 1.385 | 266 |
| 1.326 | 133 |

[7]
KSrCeBiO6: simulated X-ray diffraction stick pattern (Cu Kα, 1.54184 Å), based on a DFT-relaxed cell (PBE, Alexandria).
Lines closer than 0.1° are merged.

Structure:
Unit cell a=6.131 b=6.131 c=6.131 alpha=60.00 beta=60.00 gamma=60.00
Sites, in units of the cell vectors:
K1 0.000 0.000 0.000
Sr1 0.500 0.500 0.500
Ce1 0.750 0.750 0.750
Bi1 0.250 0.250 0.250
O1 0.005 0.005 0.495
O2 0.005 0.495 0.005
O3 0.005 0.495 0.495
O4 0.495 0.005 0.005
O5 0.495 0.005 0.495
O6 0.495 0.495 0.005

Main lines, low angle first (2θ = 10–80°):
| d_spacing | Rel. int. |
| --- | --- |
| 5.006 | 74 |
| 4.336 | 378 |
| 3.066 | 1000 |
| 2.614 | 45 |
| 2.168 | 318 |
| 1.939 | 178 |
| 1.770 | 417 |
| 1.533 | 200 |
| 1.445 | 86 |
| 1.371 | 183 |
| 1.252 | 66 |
| 1.202 | 38 |

[8]
PuU2As3: simulated X-ray diffraction stick pattern (Cu Kα, 1.54184 Å), based on a DFT-relaxed cell (PBE, Alexandria).
Lines closer than 0.1° are merged.

Structure:
Unit cell a=6.994 b=6.994 c=7.266 alpha=99.22 beta=99.22 gamma=120.00
Sites, in units of the cell vectors:
Pu1 0.166 0.834 0.000
Pu2 0.834 0.166 0.000
U1 0.000 0.000 0.500
U2 0.332 0.668 0.500
U3 0.500 0.500 0.000
U4 0.668 0.332 0.500
As1 0.086 0.416 0.748
As2 0.254 0.254 0.253
As3 0.416 0.086 0.748
As4 0.584 0.914 0.252
As5 0.746 0.746 0.747
As6 0.914 0.584 0.252

Main lines, low angle first (2θ = 10–80°):
| d_spacing | Rel. int. |
| --- | --- |
| 3.441 | 124 |
| 3.312 | 338 |
| 2.895 | 1000 |
| 2.077 | 395 |
| 2.019 | 363 |
| 1.741 | 117 |
| 1.721 | 74 |
| 1.656 | 196 |
| 1.448 | 127 |
| 1.310 | 172 |
| 1.280 | 172 |
| 1.211 | 73 |

[9]
BeFeN: simulated X-ray diffraction stick pattern (Cu Kα, 1.54184 Å), based on a DFT-relaxed cell (PBE, Alexandria).
Lines closer than 0.1° are merged.

Structure:
Unit cell a=2.926 b=2.926 c=3.179 alpha=90.00 beta=90.00 gamma=90.00
Sites, in units of the cell vectors:
Be1 0.000 0.000 0.000
Fe1 0.500 0.500 0.500
N1 0.000 0.000 0.500

Main lines, low angle first (2θ = 10–80°):
| d_spacing | Rel. int. |
| --- | --- |
| 3.179 | 1000 |
| 2.926 | 530 |
| 2.153 | 782 |
| 2.069 | 756 |
| 1.734 | 580 |
| 1.589 | 147 |
| 1.463 | 215 |
| 1.397 | 112 |
| 1.329 | 208 |
| 1.308 | 89 |
| 1.260 | 248 |
| 1.210 | 232 |